Structure and simulated X-ray diffraction stick pattern of V3O5F (a GGA+U-relaxed structure; λ = 1.5418 Å (Cu Kα)).
Peak positions follow from Bragg's law for the DFT cell and can differ from measured ones.

Main lines, by intensity (2θ = 10–90°):
| 2θ/deg | I/Imax | index |
| --- | --- | --- |
| 27.96 | 100 | -1 1 1 |
| 26.73 | 98 | 1 1 1 |
| 35.31 | 78 | 1 1 -2 |
| 68.42 | 30 | 0 4 1 |
| 54.45 | 30 | 2 -2 1 |
| 53.05 | 30 | 2 2 -1 |
| 35.16 | 27 | 0 0 3 |
| 60.71 | 19 | 0 2 -4 |
| 57.78 | 18 | -2 2 2 |
| 55.07 | 16 | 2 2 2 |
| 68.04 | 16 | 0 2 5 |
| 52.76 | 14 | 1 1 4 |

Crystal structure
Cell lengths 4.6098, 5.5223, 7.6774 Å; angles 86.17, 88.47, 87.89 degrees
Space group P-1 (No. 2)
Unique sites:
1 V 0.0000 0.0000 0.0000 x1
2 V 0.0134 0.3460 0.6772 x2
3 V 0.4647 0.8131 0.6544 x2
4 V 0.5000 0.5000 0.0000 x1
5 O 0.1898 0.3015 0.8954 x2
6 O 0.1994 0.6291 0.5641 x2
7 O 0.2943 0.4635 0.2447 x2
8 O 0.2955 0.1295 0.5657 x2
9 O 0.3154 0.8031 0.8896 x2
10 F 0.2044 0.9622 0.2393 x2